1.
This entry pairs a crystal structure of YHo2ErTm6 with its computed powder X-ray diffraction pattern. Radiation: Cu Kα (weighted mean of Kα1 and Kα2). Structure: a structure optimized by DFT (GGA-PBE).
Lines closer than 0.1° are merged.

Main lines, in order of rising 2θ (15° ≤ 2θ ≤ 90°):
| hkl | two_theta | d [Å] | intensity |
| --- | --- | --- | --- |
| 1 3 2 | 29.01 | 3.078 | 293 |
| 3 1 -1 | 31.19 | 2.868 | 1000 |
| 1 5 0 | 31.72 | 2.821 | 406 |
| 2 2 2 | 31.97 | 2.799 | 544 |
| 2 4 -1 | 32.11 | 2.788 | 307 |
| 1 3 -3 | 34.41 | 2.606 | 553 |

Cell and atoms:
```
data_YHo2ErTm6
_cell_length_a 8.9123
_cell_length_b 14.8834
_cell_length_c 9.4170
_cell_angle_alpha 90.00
_cell_angle_beta 97.41
_cell_angle_gamma 90.00
_symmetry_space_group_name_H-M 'C 1 2/c 1'
_symmetry_Int_Tables_number 15
loop_
_symmetry_equiv_pos_as_xyz
'x,y,z'
'-x,-y,-z'
'-x,y,-z+1/2'
'x,-y,z+1/2'
'x+1/2,y+1/2,z'
'-x+1/2,-y+1/2,-z'
'-x+1/2,y+1/2,-z+1/2'
'x+1/2,-y+1/2,z+1/2'
loop_
_atom_site_label
_atom_site_fract_x
_atom_site_fract_y
_atom_site_fract_z
Y1 0.0000 0.0227 0.2500
Ho1 0.2490 0.4453 0.4557
Er1 0.0000 0.4092 0.7500
Tm1 0.0610 0.1888 0.9431
Tm2 0.1045 0.3932 0.1189
Tm3 0.2040 0.2250 0.3151
```

---

2.
This entry pairs a crystal structure of YHoErTm3 with its computed powder X-ray diffraction pattern. Radiation: Cu Kα (weighted mean of Kα1 and Kα2). Structure: a structure optimized by DFT (GGA-PBE).
Lines closer than 0.1° are merged.

Main lines, in order of rising 2θ (15° ≤ 2θ ≤ 90°):
| hkl | two_theta | d [Å] | intensity |
| --- | --- | --- | --- |
| 1 3 2 | 31.20 | 2.866 | 1000 |
| 2 0 0 | 36.16 | 2.484 | 337 |
| 0 0 4 | 36.24 | 2.479 | 173 |
| 2 6 0 | 52.11 | 1.755 | 358 |
| 3 3 2 | 61.96 | 1.498 | 283 |
| 1 3 6 | 62.07 | 1.495 | 141 |

Cell and atoms:
```
data_YHoErTm3
_cell_length_a 4.9642
_cell_length_b 14.9152
_cell_length_c 9.9158
_cell_angle_alpha 90.00
_cell_angle_beta 90.00
_cell_angle_gamma 90.00
_symmetry_space_group_name_H-M 'C m c m'
_symmetry_Int_Tables_number 63
_symmetry_space_group_name_Hall '-C 2c 2'
loop_
_atom_site_label
_atom_site_fract_x
_atom_site_fract_y
_atom_site_fract_z
Y1 0.0000 0.1668 0.2500
Ho1 0.0000 0.0000 0.0000
Er1 0.0000 0.4991 0.2500
Tm1 0.0000 0.1661 0.7500
Tm2 0.0000 0.3333 0.0002
```